Computed XRD peak list
Compound: LiSbS2
Radiation: λ = 1.5418 Å (Cu Kα)
Structure: a crystal structure in Alexandria, relaxed with GGA-PBE

Most intense lines, 5° ≤ 2θ ≤ 70°, low angle first:
2theta	d (Å)	intensity
11.9	7.456	36
12.6	7.028	14
20.2	4.398	49
21.5	4.135	22
21.9	4.058	17
28.1	3.179	22
32.6	2.745	100
46.6	1.949	33
47.0	1.933	31
58.0	1.589	20

Cell lengths 14.0568, 14.0568, 9.4326 Å; angles 90.00, 90.00, 120.00 degrees
Space group R-3 (No. 148, hexagonal axes)
Symmetry-distinct sites (fractional):
Li1 0.0132 0.5900 0.1766
Sb1 0.0526 0.1737 0.8209
S1 0.0043 0.4257 0.3377
S2 0.0486 0.1780 0.3141